The following is a theoretical PXRD pattern of CrBiTeO6. It was derived from a GGA+U-relaxed structure, using λ = 1.5418 Å (Cu Kα).
Neutral-atom scattering factors, no anomalous dispersion.

Top 8 peaks for 10° ≤ 2θ ≤ 90°, in order of rising 2θ:
(hkl)	2theta	d (Å)	I (rel.)
1 0 0	19.5	4.548	12
1 0 2	26.4	3.371	100
1 1 0	34.1	2.626	33
2 0 2	43.7	2.071	25
1 1 4	50.3	1.815	35
2 1 2	56.6	1.626	24
1 0 6	58.8	1.571	10
3 0 0	61.1	1.516	11

Structure:
```
CrBiTeO6
1.0
5.2513 0.0000 0.0000
-2.6257 4.5478 0.0000
0.0000 0.0000 10.0419
Cr Bi Te O
2 2 2 12
direct
0.3333 0.6667 0.2500 Cr
0.6667 0.3333 0.7500 Cr
0.0000 0.0000 0.0000 Bi
0.0000 0.0000 0.5000 Bi
0.3333 0.6667 0.7500 Te
0.6667 0.3333 0.2500 Te
0.0088 0.3729 0.6417 O
0.0088 0.6359 0.8583 O
0.3641 0.3729 0.8583 O
0.3641 0.9912 0.6417 O
0.3729 0.0088 0.1417 O
0.3729 0.3641 0.3583 O
0.6271 0.6359 0.6417 O
0.6271 0.9912 0.8583 O
0.6359 0.0088 0.3583 O
0.6359 0.6271 0.1417 O
0.9912 0.3641 0.1417 O
0.9912 0.6271 0.3583 O
```